1.
HfFeO3: calculated powder diffractogram (Cu Kα, 1.54184 Å), based on a cell relaxed with GGA+U.
Neutral-atom scattering factors, no anomalous dispersion.

Peak list (10 most intense, 10 to 80 degrees two-theta, low angle first)
3.922 Å, 2θ 22.67, I = 48
3.904 Å, 2θ 22.78, I = 90
2.860 Å, 2θ 31.28, I = 100
2.834 Å, 2θ 31.57, I = 49
2.692 Å, 2θ 33.28, I = 46
2.682 Å, 2θ 33.41, I = 87
1.952 Å, 2θ 46.53, I = 40
1.799 Å, 2θ 50.74, I = 26
1.585 Å, 2θ 58.21, I = 36
1.552 Å, 2θ 59.56, I = 27

Crystal structure
```
HfFeO3
1.0
4.6403 -2.6919 0.0000
4.6403 2.6919 0.0000
-3.0422 0.0000 4.8117
Hf Fe O
2 2 6
Cartesian
3.1193 1.3598 2.4059
4.6403 -1.3598 0.0000
6.1671 1.3641 0.6123
4.6460 -1.3641 3.0182
1.7757 2.2488 3.8285
1.4324 0.6542 1.4777
-0.0887 -0.6542 3.8836
4.5635 0.3319 1.3792
3.0424 -0.3319 3.7851
3.2968 -2.2488 1.4226
```

***

2.
PmHfFe2O6: calculated powder diffractogram (Cu Kα, 1.54184 Å), based on a cell relaxed with GGA+U.
Neutral-atom scattering factors, no anomalous dispersion.

Peak list (10 most intense, 10 to 80 degrees two-theta, low angle first)
3.934 Å, 2θ 22.60, I = 54
3.883 Å, 2θ 22.90, I = 27
2.885 Å, 2θ 31.00, I = 37
2.847 Å, 2θ 31.42, I = 71
2.688 Å, 2θ 33.33, I = 100
2.211 Å, 2θ 40.81, I = 14
1.971 Å, 2θ 46.04, I = 15
1.963 Å, 2θ 46.24, I = 14
1.782 Å, 2θ 51.26, I = 15
1.551 Å, 2θ 59.61, I = 20

Crystal structure
```
PmHfFe2O6
1.0
5.3694 0.0000 0.0000
2.6827 4.6623 0.0000
0.0681 3.0491 4.8315
Pm Hf Fe O
1 1 2 6
Cartesian
0.0000 0.0000 0.0000
5.4126 6.1565 2.6981
2.7400 4.6010 3.1058
5.3783 3.0574 0.9044
0.8247 1.3490 1.9032
2.2386 2.9917 4.1291
3.5802 3.1990 1.8676
4.3767 4.9417 4.1161
6.4964 4.5881 1.8933
6.9373 5.8391 4.1783
```

***

3.
SrSmHfFeO6: calculated powder diffractogram (Cu Kα, 1.54184 Å), based on a cell relaxed with GGA+U.
Neutral-atom scattering factors, no anomalous dispersion.

Peak list (10 most intense, 10 to 80 degrees two-theta, low angle first)
4.564 Å, 2θ 19.45, I = 18
2.795 Å, 2θ 32.03, I = 100
2.383 Å, 2θ 37.75, I = 12
1.976 Å, 2θ 45.92, I = 30
1.813 Å, 2θ 50.32, I = 6
1.613 Å, 2θ 57.08, I = 39
1.521 Å, 2θ 60.90, I = 4
1.397 Å, 2θ 66.97, I = 18
1.336 Å, 2θ 70.48, I = 4
1.250 Å, 2θ 76.17, I = 17

Crystal structure
```
SrSmHfFeO6
1.0
0.0000 3.9522 3.9522
3.9522 0.0000 3.9522
3.9522 3.9522 0.0000
Sr Sm Hf Fe O
1 1 1 1 6
Cartesian
0.0000 0.0000 0.0000
3.9522 3.9522 3.9522
1.9761 1.9761 1.9761
5.9283 5.9283 5.9283
5.9283 5.9283 4.0120
5.9283 4.0120 5.9283
7.8445 5.9283 5.9283
4.0120 5.9283 5.9283
5.9283 7.8445 5.9283
5.9283 5.9283 7.8445
```